Structure and computed powder XRD pattern of KMnTl2Cl4 (DFT lattice parameters and positions (PBE); Cu Kα, 1.54184 Å).
Lines closer than 0.1° are merged.

Most intense lines, 2θ from 5° to 70°, low angle first:
d/Å  intensity
6.909  68
5.065  100
3.309  84
3.236  77
3.032  71
2.279  61

Crystal structure
Cell: 15.0434 14.2600 6.9139 Å, 82.76 70.11 27.13°
Element x y z (fractional)
K: 0.1250 0.1250 0.1250
K: 0.8750 0.8750 0.8750
Mn: 0.3750 0.3750 0.3750
Mn: 0.6250 0.6250 0.6250
Tl: 0.0113 0.0113 0.7387
Tl: 0.2613 0.2613 0.9887
Tl: 0.7387 0.7387 0.0113
Tl: 0.9887 0.9887 0.2613
Cl: 0.0304 0.6093 0.5130
Cl: 0.3472 0.5130 0.6093
Cl: 0.3907 0.9696 0.6528
Cl: 0.4870 0.6528 0.9696
Cl: 0.5130 0.3472 0.0304
Cl: 0.6093 0.0304 0.3472
Cl: 0.6528 0.4870 0.3907
Cl: 0.9696 0.3907 0.4870